The following is a theoretical powder diffractogram of Li2Cd5Hg5. It was derived from a structure optimized by DFT (PBE), using Cu Kα, 1.54184 Å.
Peak positions follow from Bragg's law for the DFT cell and can differ from measured ones.

Largest 10 diffraction maxima, sorted by position, 2θ from 10° to 90°:
3.820 Å, 2θ 23.29, I = 36; 3.312 Å, 2θ 26.92, I = 67; 3.146 Å, 2θ 28.37, I = 41; 3.047 Å, 2θ 29.31, I = 67; 2.778 Å, 2θ 32.22, I = 52; 2.506 Å, 2θ 35.84, I = 100; 2.457 Å, 2θ 36.57, I = 59; 2.445 Å, 2θ 36.76, I = 85; 2.203 Å, 2θ 40.97, I = 63; 2.005 Å, 2θ 45.22, I = 39

Crystal structure
```
Li2Cd5Hg5
1.0
7.641 -2.203 0.000
7.641 2.203 0.000
-3.718 0.000 8.261
Li Cd Hg
2 5 5
Direct
0.120 0.120 0.222
0.880 0.880 0.778
0.000 0.000 0.500
0.088 0.088 0.867
0.222 0.222 0.614
0.778 0.778 0.386
0.912 0.912 0.133
0.284 0.284 0.160
0.420 0.420 0.620
0.500 0.500 0.000
0.580 0.580 0.380
0.716 0.716 0.840
```